(1)
# Y3TlF10
Theoretical X-ray powder pattern, copper Kα. Input: a structure optimized by DFT (GGA-PBE).
Peak positions follow from Bragg's law for the DFT cell and can differ from measured ones.

Cell and atoms:
```
Y3TlF10
1.0
8.3190 0.0000 0.0000
-4.1595 7.2045 0.0000
0.0000 0.0000 13.5814
Y Tl F
12 4 40
direct
0.0107 0.5053 0.0000 Y
0.1739 0.3477 0.7596 Y
0.1739 0.8261 0.7596 Y
0.3477 0.1739 0.2596 Y
0.4947 0.5053 0.0000 Y
0.4947 0.9893 0.0000 Y
0.5053 0.0107 0.5000 Y
0.5053 0.4947 0.5000 Y
0.6523 0.8261 0.7596 Y
0.8261 0.1739 0.2596 Y
0.8261 0.6523 0.2596 Y
0.9893 0.4947 0.5000 Y
0.0000 0.0000 0.0080 Tl
0.0000 0.0000 0.5080 Tl
0.3333 0.6667 0.2531 Tl
0.6667 0.3333 0.7531 Tl
0.0057 0.3414 0.6303 F
0.0057 0.6643 0.6303 F
0.0406 0.5203 0.8261 F
0.1097 0.2194 0.2910 F
0.1097 0.8903 0.2910 F
0.1835 0.3670 0.9358 F
0.1835 0.8165 0.9358 F
0.2194 0.1097 0.7910 F
0.2229 0.4457 0.4637 F
0.2229 0.7771 0.4637 F
0.3333 0.6667 0.0423 F
0.3333 0.6667 0.7144 F
0.3357 0.3414 0.6303 F
0.3357 0.9943 0.6303 F
0.3414 0.0057 0.1303 F
0.3414 0.3357 0.1303 F
0.3670 0.1835 0.4358 F
0.4457 0.2229 0.9637 F
0.4797 0.5203 0.8261 F
0.4797 0.9594 0.8261 F
0.5203 0.0406 0.3261 F
0.5203 0.4797 0.3261 F
0.5543 0.7771 0.4637 F
0.6330 0.8165 0.9358 F
0.6586 0.6643 0.6303 F
0.6586 0.9943 0.6303 F
0.6643 0.0057 0.1303 F
0.6643 0.6586 0.1303 F
0.6667 0.3333 0.2144 F
0.6667 0.3333 0.5423 F
0.7771 0.2229 0.9637 F
0.7771 0.5543 0.9637 F
0.7806 0.8903 0.2910 F
0.8165 0.1835 0.4358 F
0.8165 0.6330 0.4358 F
0.8903 0.1097 0.7910 F
0.8903 0.7806 0.7910 F
0.9594 0.4797 0.3261 F
0.9943 0.3357 0.1303 F
0.9943 0.6586 0.1303 F
```

Principal peaks in the range 15 to 90 degrees two-theta, in order of falling intensity:
d = 3.182 Å, intensity 1000
d = 3.482 Å, intensity 443
d = 1.773 Å, intensity 432
d = 3.395 Å, intensity 377
d = 1.917 Å, intensity 376
d = 2.080 Å, intensity 373
d = 1.741 Å, intensity 220
d = 2.819 Å, intensity 186



(2)
# YTl3F6
Theoretical X-ray powder pattern, copper Kα. Input: a structure optimized by DFT (GGA-PBE).
Peak positions follow from Bragg's law for the DFT cell and can differ from measured ones.

Cell and atoms:
```
YTl3F6
1.0
6.5765 0.0000 0.0000
0.0000 6.9011 0.0000
-6.4463 0.0000 9.4902
Y Tl F
2 6 12
direct
0.0000 0.0000 0.0000 Y
0.0000 0.5000 0.5000 Y
0.2668 0.0400 0.7541 Tl
0.2668 0.4600 0.2541 Tl
0.5000 0.0000 0.5000 Tl
0.5000 0.5000 0.0000 Tl
0.7332 0.5400 0.7459 Tl
0.7332 0.9600 0.2459 Tl
0.1029 0.0528 0.2167 F
0.1029 0.4472 0.7167 F
0.2248 0.7342 0.0688 F
0.2248 0.7658 0.5688 F
0.3259 0.1638 0.0468 F
0.3259 0.3362 0.5468 F
0.6741 0.6638 0.4532 F
0.6741 0.8362 0.9532 F
0.7752 0.2342 0.4312 F
0.7752 0.2658 0.9312 F
0.8971 0.5528 0.2833 F
0.8971 0.9472 0.7833 F
```

Principal peaks in the range 15 to 90 degrees two-theta, in order of falling intensity:
d = 3.378 Å, intensity 1000
d = 3.344 Å, intensity 976
d = 3.451 Å, intensity 479
d = 3.288 Å, intensity 456
d = 2.380 Å, intensity 428
d = 1.921 Å, intensity 254
d = 2.373 Å, intensity 245
d = 1.955 Å, intensity 230



(3)
# Y2Tl5F12
Theoretical X-ray powder pattern, copper Kα. Input: a structure optimized by DFT (GGA-PBE).
Peak positions follow from Bragg's law for the DFT cell and can differ from measured ones.

Cell and atoms:
```
Y2Tl5F12
1.0
6.9848 -3.9617 0.0000
6.9848 3.9617 0.0000
-3.9279 0.0000 6.4098
Y Tl F
2 5 12
direct
0.2456 0.7544 0.0000 Y
0.7544 0.2456 0.0000 Y
0.0000 0.0000 0.5000 Tl
0.2785 0.2785 0.5582 Tl
0.3035 0.3035 0.1493 Tl
0.6965 0.6965 0.8507 Tl
0.7215 0.7215 0.4418 Tl
0.0817 0.0817 0.9648 F
0.1028 0.7037 0.6519 F
0.1328 0.5029 0.8947 F
0.2963 0.8972 0.3481 F
0.4935 0.4935 0.8255 F
0.4971 0.8672 0.1053 F
0.5029 0.1328 0.8947 F
0.5065 0.5065 0.1745 F
0.7037 0.1028 0.6519 F
0.8672 0.4971 0.1053 F
0.8972 0.2963 0.3481 F
0.9183 0.9183 0.0352 F
```

Principal peaks in the range 15 to 90 degrees two-theta, in order of falling intensity:
d = 3.549 Å, intensity 1000
d = 3.280 Å, intensity 967
d = 3.962 Å, intensity 703
d = 3.152 Å, intensity 622
d = 1.980 Å, intensity 559
d = 2.465 Å, intensity 548
d = 3.299 Å, intensity 531
d = 2.130 Å, intensity 419



(4)
# YTl5F8
Theoretical X-ray powder pattern, copper Kα. Input: a structure optimized by DFT (GGA-PBE).
Peak positions follow from Bragg's law for the DFT cell and can differ from measured ones.

Cell and atoms:
```
YTl5F8
1.0
-3.9704 3.9704 4.3466
3.9704 -3.9704 4.3466
3.9704 3.9704 -4.3466
Y Tl F
1 5 8
direct
0.0000 0.0000 0.0000 Y
0.2590 0.1352 0.6520 Tl
0.3930 0.7410 0.8762 Tl
0.4832 0.6070 0.3481 Tl
0.7500 0.2500 0.5000 Tl
0.8648 0.5168 0.1238 Tl
0.0050 0.8132 0.6594 F
0.0557 0.2773 0.8939 F
0.1538 0.3457 0.3406 F
0.1868 0.8462 0.1919 F
0.3834 0.1619 0.1061 F
0.6543 0.9950 0.8081 F
0.7227 0.6166 0.7784 F
0.8381 0.9443 0.2216 F
```

Principal peaks in the range 15 to 90 degrees two-theta, in order of falling intensity:
d = 3.287 Å, intensity 1000
d = 3.437 Å, intensity 473
d = 2.511 Å, intensity 346
d = 2.722 Å, intensity 243
d = 2.245 Å, intensity 205
d = 2.931 Å, intensity 196
d = 1.643 Å, intensity 186
d = 1.562 Å, intensity 184



(5)
# Tl4Zn3F10
Theoretical X-ray powder pattern, copper Kα. Input: a structure optimized by DFT (GGA-PBE).
Peak positions follow from Bragg's law for the DFT cell and can differ from measured ones.

Cell and atoms:
```
Tl4Zn3F10
1.0
-2.0982 2.0982 15.4889
2.0982 -2.0982 15.4889
2.0982 2.0982 -15.4889
Tl Zn F
4 3 10
direct
0.0679 0.0679 0.0000 Tl
0.2030 0.2030 0.0000 Tl
0.7970 0.7970 0.0000 Tl
0.9321 0.9321 0.0000 Tl
0.3640 0.3640 0.0000 Zn
0.5000 0.5000 0.0000 Zn
0.6360 0.6360 0.0000 Zn
0.0000 0.5000 0.5000 F
0.1358 0.6358 0.5000 F
0.2987 0.2987 0.0000 F
0.3642 0.8642 0.5000 F
0.4322 0.4322 0.0000 F
0.5000 0.0000 0.5000 F
0.5678 0.5678 0.0000 F
0.6358 0.1358 0.5000 F
0.7013 0.7013 0.0000 F
0.8642 0.3642 0.5000 F
```

Principal peaks in the range 15 to 90 degrees two-theta, in order of falling intensity:
d = 3.045 Å, intensity 1000
d = 2.967 Å, intensity 572
d = 1.728 Å, intensity 400
d = 2.098 Å, intensity 331
d = 2.355 Å, intensity 270
d = 4.159 Å, intensity 188
d = 1.774 Å, intensity 152
d = 3.876 Å, intensity 145



(6)
# TlZn4F8
Theoretical X-ray powder pattern, copper Kα. Input: a structure optimized by DFT (GGA-PBE).
Peak positions follow from Bragg's law for the DFT cell and can differ from measured ones.

Cell and atoms:
```
TlZn4F8
1.0
3.2084 1.8524 6.7562
-3.2084 1.8524 6.7562
0.0000 -3.7047 6.7562
Tl Zn F
1 4 8
direct
0.0000 0.0000 0.0000 Tl
0.0000 0.0000 0.5000 Zn
0.0000 0.5000 0.0000 Zn
0.5000 0.0000 0.0000 Zn
0.5000 0.5000 0.5000 Zn
0.2168 0.2168 0.2168 F
0.2176 0.7200 0.7200 F
0.2800 0.2800 0.7824 F
0.2800 0.7824 0.2800 F
0.7200 0.2176 0.7200 F
0.7200 0.7200 0.2176 F
0.7824 0.2800 0.2800 F
0.7832 0.7832 0.7832 F
```

Principal peaks in the range 15 to 90 degrees two-theta, in order of falling intensity:
d = 2.436 Å, intensity 1000
d = 5.359 Å, intensity 807
d = 4.873 Å, intensity 641
d = 2.680 Å, intensity 419
d = 3.378 Å, intensity 404
d = 2.898 Å, intensity 352
d = 3.744 Å, intensity 335
d = 1.872 Å, intensity 298



(7)
# TlZn2F5
Theoretical X-ray powder pattern, copper Kα. Input: a structure optimized by DFT (GGA-PBE).
Peak positions follow from Bragg's law for the DFT cell and can differ from measured ones.

Cell and atoms:
```
TlZn2F5
1.0
2.1464 -5.2064 0.0000
2.1464 5.2064 0.0000
0.0000 0.0000 10.7452
Tl Zn F
2 4 10
direct
0.0566 0.9434 0.7500 Tl
0.9434 0.0566 0.2500 Tl
0.3551 0.6449 0.5600 Zn
0.3551 0.6449 0.9400 Zn
0.6449 0.3551 0.0600 Zn
0.6449 0.3551 0.4400 Zn
0.1798 0.8202 0.0327 F
0.1798 0.8202 0.4673 F
0.3148 0.6852 0.7500 F
0.4535 0.5465 0.1058 F
0.4535 0.5465 0.3942 F
0.5465 0.4535 0.6058 F
0.5465 0.4535 0.8942 F
0.6852 0.3148 0.2500 F
0.8202 0.1798 0.5327 F
0.8202 0.1798 0.9673 F
```

Principal peaks in the range 15 to 90 degrees two-theta, in order of falling intensity:
d = 3.192 Å, intensity 1000
d = 3.739 Å, intensity 425
d = 2.951 Å, intensity 418
d = 2.530 Å, intensity 358
d = 3.723 Å, intensity 352
d = 2.225 Å, intensity 317
d = 2.618 Å, intensity 313
d = 1.660 Å, intensity 300



(8)
# ZrTl3F8
Theoretical X-ray powder pattern, copper Kα. Input: a structure optimized by DFT (GGA-PBE).
Peak positions follow from Bragg's law for the DFT cell and can differ from measured ones.

Cell and atoms:
```
ZrTl3F8
1.0
-3.1580 3.1580 5.4122
3.1580 -3.1580 5.4122
3.1580 3.1580 -5.4122
Zr Tl F
1 3 8
direct
0.0000 0.0000 0.0000 Zr
0.2500 0.7500 0.5000 Tl
0.5000 0.5000 0.0000 Tl
0.7500 0.2500 0.5000 Tl
0.0091 0.0091 0.6867 F
0.1487 0.1487 0.4334 F
0.2847 0.8513 0.0000 F
0.3224 0.3224 0.3133 F
0.6776 0.9909 0.0000 F
0.7153 0.7153 0.5666 F
0.8513 0.2847 0.0000 F
0.9909 0.6776 0.0000 F
```

Principal peaks in the range 15 to 90 degrees two-theta, in order of falling intensity:
d = 3.445 Å, intensity 1000
d = 1.874 Å, intensity 396
d = 3.158 Å, intensity 294
d = 2.055 Å, intensity 269
d = 2.233 Å, intensity 197
d = 1.722 Å, intensity 141
d = 1.673 Å, intensity 140
d = 1.339 Å, intensity 117